For K3Mn2Cl3F4, DFT lattice parameters and positions (PBE+U) gives the calculated XRD peak list in this record (a wavelength of 1.5418 Å).
No peak broadening, texture or thermal motion is included.

Principal peaks in the range 2θ = 15–90°, by intensity:
- 2θ 35.27, d = 2.544 Å, rel. 100
- 2θ 27.43, d = 3.252 Å, rel. 90
- 2θ 28.09, d = 3.177 Å, rel. 73
- 2θ 37.36, d = 2.407 Å, rel. 63
- 2θ 42.78, d = 2.114 Å, rel. 54
- 2θ 35.54, d = 2.526 Å, rel. 47
- 2θ 56.61, d = 1.626 Å, rel. 42
- 2θ 52.32, d = 1.749 Å, rel. 42

Crystal structure
a = 12.4826 Å, b = 12.4826 Å, c = 12.4826 Å
α = 156.48°, β = 30.73°, γ = 160.50°
Sites, in units of the cell vectors:
K 0.0000 0.0000 0.0000
K 0.1940 0.9990 0.1949
K 0.8041 0.9990 0.8051
Mn 0.3882 0.0008 0.3874
Mn 0.6134 0.0008 0.6126
Cl 0.3970 0.4996 0.8974
Cl 0.5006 0.0006 0.5000
Cl 0.6022 0.4996 0.1026
F 0.1156 0.5008 0.6148
F 0.3025 0.0021 0.3004
F 0.7016 0.0021 0.6996
F 0.8861 0.5008 0.3852